# Ag3OsF8
Simulated powder diffractogram, a wavelength of 1.5418 Å. Input: a cell relaxed with GGA-PBE.

The 10 most intense peaks (10 to 90 degrees two-theta), low angle first:
2θ/deg, I (rel.)
17.12, 100.0
20.05, 14.4
20.73, 62.9
28.60, 39.3
29.10, 52.3
31.25, 20.0
32.92, 31.2
34.63, 23.0
38.64, 44.4
51.65, 28.5

```
Ag3OsF8
1.0
2.9452 -5.4408 0.0000
2.9452 5.4408 0.0000
0.0000 0.0000 7.6193
Ag Os F
3 1 8
direct
0.0000 0.0000 0.0000
0.0000 0.5000 0.7798
0.5000 0.0000 0.2202
0.0000 0.0000 0.5000
0.1775 0.8225 0.5000
0.1970 0.8030 0.0000
0.2212 0.2338 0.6809
0.2338 0.2212 0.3191
0.7662 0.7788 0.3191
0.7788 0.7662 0.6809
0.8030 0.1970 0.0000
0.8225 0.1775 0.5000
```